Record 1
The following is a simulated powder diffraction line list of CeBi. It was derived from a structure optimized by DFT (GGA-PBE), using Cu Kα X-rays.
Neutral-atom scattering factors, no anomalous dispersion.

Peak list (8 most intense, 2θ = 10–80°, by intensity)
(hkl)	d_spacing	I (rel.)
1 0 1	2.708	100
1 1 0	2.991	65
2 1 1	1.667	48
2 0 0	2.115	25
1 1 2	1.518	18
2 0 2	1.354	12
3 1 0	1.338	12
3 0 1	1.309	11

```
data_CeBi
_chemical_formula_sum 'Ce1 Bi1'
_space_group_name_H-M_alt 'P 4/m m m'
_space_group_IT_number 123
_space_group_name_Hall '-P 4 2'
_cell_length_a 4.230
_cell_length_b 4.230
_cell_length_c 3.525
_cell_angle_alpha 90.00
_cell_angle_beta 90.00
_cell_angle_gamma 90.00
loop_
_atom_site_label
_atom_site_fract_x
_atom_site_fract_y
_atom_site_fract_z
Ce1 0.000 0.000 0.000
Bi1 0.500 0.500 0.500
```

Record 2
The following is a simulated powder diffraction line list of Sn2H12Cl6O7. It was derived from a structure optimized by DFT (GGA-PBE), using Cu Kα X-rays.
Neutral-atom scattering factors, no anomalous dispersion.

Peak list (8 most intense, 2θ = 10–80°, by intensity)
(hkl)	d_spacing	I (rel.)
2 0 0	6.224	100
1 1 1	6.035	58
0 0 2	8.692	38
1 1 -2	5.344	31
1 1 2	5.118	26
0 2 3	3.204	25
3 1 1	3.523	20
4 0 2	2.855	18

```
data_Sn2H12Cl6O7
_chemical_formula_sum 'Sn8 H48 Cl24 O28'
_space_group_name_H-M_alt 'C 1 2/c 1'
_space_group_IT_number 15
_cell_length_a 12.505
_cell_length_b 7.689
_cell_length_c 17.447
_cell_angle_alpha 90.00
_cell_angle_beta 94.92
_cell_angle_gamma 90.00
loop_
_space_group_symop_operation_xyz
'x,y,z'
'-x,-y,-z'
'-x,y,-z+1/2'
'x,-y,z+1/2'
'x+1/2,y+1/2,z'
'-x+1/2,-y+1/2,-z'
'-x+1/2,y+1/2,-z+1/2'
'x+1/2,-y+1/2,z+1/2'
loop_
_atom_site_label
_atom_site_fract_x
_atom_site_fract_y
_atom_site_fract_z
Sn1 0.224 0.144 0.082
H1 0.006 0.176 0.428
H2 0.041 0.275 0.996
H3 0.053 0.159 0.730
H4 0.065 0.038 0.331
H5 0.139 0.197 0.357
H6 0.190 0.032 0.931
Cl1 0.084 0.419 0.891
Cl2 0.166 0.150 0.600
Cl3 0.193 0.268 0.204
O1 0.000 0.083 0.750
O2 0.058 0.199 0.041
O3 0.097 0.101 0.376
O4 0.242 0.107 0.963
```

Record 3
The following is a simulated powder diffraction line list of YMg3. It was derived from a structure optimized by DFT (GGA-PBE), using Cu Kα X-rays.
Neutral-atom scattering factors, no anomalous dispersion.

Peak list (8 most intense, 2θ = 10–80°, by intensity)
(hkl)	d_spacing	I (rel.)
1 2 1	2.529	100
0 1 1	5.101	56
0 2 2	2.551	50
0 4 0	2.748	40
0 2 0	5.497	34
1 0 1	2.848	32
1 6 1	1.541	24
1 4 1	1.978	21

```
data_YMg3
_chemical_formula_sum 'Y2 Mg6'
_space_group_name_H-M_alt 'I m m 2'
_space_group_IT_number 44
_cell_length_a 3.277
_cell_length_b 10.993
_cell_length_c 5.759
_cell_angle_alpha 90.00
_cell_angle_beta 90.00
_cell_angle_gamma 90.00
loop_
_space_group_symop_operation_xyz
'x,y,z'
'-x,-y,z'
'-x,y,z'
'x,-y,z'
'x+1/2,y+1/2,z+1/2'
'-x+1/2,-y+1/2,z+1/2'
'-x+1/2,y+1/2,z+1/2'
'x+1/2,-y+1/2,z+1/2'
loop_
_atom_site_label
_atom_site_fract_x
_atom_site_fract_y
_atom_site_fract_z
Y1 0.000 0.000 0.000
Mg1 0.000 0.248 0.337
Mg2 0.000 0.500 0.006
```